Entry 1:
Diffraction record for Gd5AgS8. The X-ray powder pattern is theoretical, not measured: it uses a DFT-relaxed cell (PBE, the Materials Project) and Cu Ka.
Neutral-atom scattering factors, no anomalous dispersion.

Crystal structure
```
data_Gd5AgS8
_chemical_formula_sum 'Gd10 Ag2 S16'
_symmetry_space_group_name_H-M 'I -4'
_symmetry_Int_Tables_number 82
_cell_length_a 8.366
_cell_length_b 8.366
_cell_length_c 8.385
_cell_angle_alpha 90.00
_cell_angle_beta 90.00
_cell_angle_gamma 90.00
loop_
_symmetry_equiv_pos_as_xyz
'x,y,z'
'y,-x,-z'
'-x,-y,z'
'-y,x,-z'
'x+1/2,y+1/2,z+1/2'
'y+1/2,-x+1/2,-z+1/2'
'-x+1/2,-y+1/2,z+1/2'
'-y+1/2,x+1/2,-z+1/2'
loop_
_atom_site_label
_atom_site_type_symbol
_atom_site_fract_x
_atom_site_fract_y
_atom_site_fract_z
_atom_site_occupancy
Gd1 Gd 0.000 0.000 0.000 1
Gd2 Gd 0.133 0.248 0.381 1
Ag1 Ag 0.000 0.500 0.750 1
S1 S 0.070 0.179 0.699 1
S2 S 0.074 0.316 0.065 1
```

Top 10 peaks for 10 to 90 degrees two-theta, low angle first:
d 3.418, rel. 100, hkl 1 1 2
d 2.647, rel. 90, hkl 1 3 0
d 2.238, rel. 54, hkl 1 2 3
d 1.872, rel. 37, hkl 2 0 4
d 1.785, rel. 24, hkl 3 2 3
d 1.643, rel. 17, hkl 3 1 4
d 1.641, rel. 14, hkl 4 3 1
d 1.360, rel. 12, hkl 2 3 5
d 1.357, rel. 22, hkl 1 6 1
d 1.139, rel. 14, hkl 5 5 2

Entry 2:
Diffraction record for BaSb2Pd. The X-ray powder pattern is theoretical, not measured: it uses a DFT-relaxed cell (PBE, the Materials Project) and Cu Ka.
Neutral-atom scattering factors, no anomalous dispersion.

Crystal structure
```
data_BaSb2Pd
_chemical_formula_sum 'Ba4 Sb8 Pd4'
_symmetry_space_group_name_H-M 'C m c m'
_symmetry_Int_Tables_number 63
_symmetry_space_group_name_Hall '-C 2c 2'
_cell_length_a 4.958
_cell_length_b 18.797
_cell_length_c 4.986
_cell_angle_alpha 90.00
_cell_angle_beta 90.00
_cell_angle_gamma 90.00
loop_
_atom_site_label
_atom_site_type_symbol
_atom_site_fract_x
_atom_site_fract_y
_atom_site_fract_z
_atom_site_occupancy
Ba1 Ba 0.000 0.107 0.250 1
Sb1 Sb 0.000 0.250 0.750 1
Sb2 Sb 0.000 0.458 0.250 1
Pd1 Pd 0.000 0.314 0.250 1
```

Top 10 peaks for 10 to 90 degrees two-theta, low angle first:
d 3.066, rel. 100, hkl 1 3 1
d 2.996, rel. 37, hkl 1 5 0
d 2.653, rel. 35, hkl 0 6 1
d 2.493, rel. 40, hkl 0 0 2
d 2.479, rel. 39, hkl 2 0 0
d 2.134, rel. 19, hkl 1 7 1
d 1.916, rel. 20, hkl 1 5 2
d 1.811, rel. 22, hkl 2 6 1
d 1.758, rel. 28, hkl 2 0 2
d 1.523, rel. 22, hkl 3 3 1